Computed powder X-ray diffraction pattern
Compound: Ni5Rh3
Radiation: Cu Kα (weighted mean of Kα1 and Kα2)
Structure: a cell relaxed with PBE
Neutral-atom scattering factors, no anomalous dispersion.

Atomic structure:
```
data_Ni5Rh3
_symmetry_space_group_name_H-M 'P 1'
_symmetry_Int_Tables_number 1
_symmetry_space_group_name_Hall 'P 1'
_cell_length_a 7.8204
_cell_length_b 7.8204
_cell_length_c 7.8204
_cell_angle_alpha 152.99
_cell_angle_beta 152.99
_cell_angle_gamma 38.56
loop_
_atom_site_label
_atom_site_type_symbol
_atom_site_fract_x
_atom_site_fract_y
_atom_site_fract_z
Ni1 Ni 0.0000 0.0000 0.0000
Ni2 Ni 0.2491 0.2491 0.0000
Ni3 Ni 0.6293 0.1293 0.5000
Ni4 Ni 0.7509 0.7509 0.0000
Ni5 Ni 0.8707 0.3707 0.5000
Rh1 Rh 0.1274 0.6274 0.5000
Rh2 Rh 0.3726 0.8726 0.5000
Rh3 Rh 0.5000 0.5000 0.0000
```

The 8 most intense peaks (5° ≤ 2θ ≤ 70°), low angle first:
| 2θ/deg | I/Imax |
| --- | --- |
| 25.12 | 5 |
| 30.48 | 3 |
| 36.87 | 1 |
| 39.24 | 1 |
| 42.73 | 100 |
| 49.38 | 16 |
| 49.94 | 32 |
| 56.70 | 1 |